Calculated X-ray powder pattern of Ca5Mg for Cu Ka, from the GGA-PBE geometry in the Materials Project.
Intensities are scaled so that the largest is 100.

Most intense lines, 2θ = 10–80°, in order of falling intensity:
hkl, d [Å], Position (°2θ), I (rel.)
3 1 0, 2.941, 30.4, 100
1 1 -2, 2.888, 31.0, 65
4 0 -2, 3.131, 28.5, 52
1 1 1, 3.293, 27.1, 29
0 0 3, 2.836, 31.6, 28
3 1 3, 1.885, 48.3, 21
2 0 2, 3.252, 27.4, 17
1 1 -5, 1.589, 58.0, 16
7 1 -2, 1.781, 51.3, 13
4 2 -2, 1.630, 56.4, 13

Atomic structure:
```
data_Ca5Mg
_cell_length_a 14.375
_cell_length_b 3.819
_cell_length_c 8.837
_cell_angle_alpha 90.00
_cell_angle_beta 105.72
_cell_angle_gamma 90.00
_symmetry_space_group_name_H-M 'C 1 m 1'
_symmetry_Int_Tables_number 8
loop_
_symmetry_equiv_pos_as_xyz
'x,y,z'
'x,-y,z'
'x+1/2,y+1/2,z'
'x+1/2,-y+1/2,z'
loop_
_atom_site_label
_atom_site_fract_x
_atom_site_fract_y
_atom_site_fract_z
Ca1 0.000 0.000 0.000
Ca2 0.051 0.000 0.624
Ca3 0.158 0.500 0.333
Ca4 0.320 0.000 0.684
Ca5 0.374 0.000 0.263
Mg1 0.214 0.500 0.947
```

Calculated X-ray powder pattern of CaMg for Cu Ka, from the GGA-PBE geometry in the Materials Project.
Intensities are scaled so that the largest is 100.

Most intense lines, 2θ = 10–80°, in order of falling intensity:
hkl, d [Å], Position (°2θ), I (rel.)
1 3 1, 2.720, 32.9, 100
1 0 2, 2.696, 33.2, 56
2 0 0, 2.852, 31.4, 41
0 3 1, 3.095, 28.9, 29
2 3 3, 1.506, 61.6, 19
3 3 1, 1.620, 56.8, 19
2 3 1, 2.097, 43.1, 18
0 3 3, 1.773, 51.5, 17
1 6 2, 1.493, 62.2, 15
3 0 2, 1.615, 57.0, 10

Atomic structure:
```
data_CaMg
_cell_length_a 5.703
_cell_length_b 10.762
_cell_length_c 6.118
_cell_angle_alpha 90.00
_cell_angle_beta 90.00
_cell_angle_gamma 90.00
_symmetry_space_group_name_H-M 'A m m 2'
_symmetry_Int_Tables_number 38
loop_
_symmetry_equiv_pos_as_xyz
'x,y,z'
'-x,-y,z'
'-x,y,z'
'x,-y,z'
'x,y+1/2,z+1/2'
'-x,-y+1/2,z+1/2'
'-x,y+1/2,z+1/2'
'x,-y+1/2,z+1/2'
loop_
_atom_site_label
_atom_site_fract_x
_atom_site_fract_y
_atom_site_fract_z
Ca1 0.000 0.000 0.000
Ca2 0.500 0.174 0.803
Mg1 0.000 0.162 0.474
Mg2 0.500 0.000 0.318
```

Calculated X-ray powder pattern of CaMg2 for Cu Ka, from the GGA-PBE geometry in the Materials Project.
Intensities are scaled so that the largest is 100.

Most intense lines, 2θ = 10–80°, in order of falling intensity:
hkl, d [Å], Position (°2θ), I (rel.)
3 1 1, 2.652, 33.8, 100
2 2 0, 3.109, 28.7, 46
5 1 1, 1.693, 54.2, 31
2 2 2, 2.539, 35.4, 25
4 4 0, 1.555, 59.5, 25
4 2 2, 1.795, 50.9, 16
5 3 3, 1.341, 70.2, 10
6 2 2, 1.326, 71.1, 9
6 2 0, 1.391, 67.3, 6
1 1 1, 5.078, 17.5, 1

Atomic structure:
Cell lengths 8.795, 8.795, 8.795 Å; angles 90.00, 90.00, 90.00 degrees
Space group Fd-3m (No. 227, origin choice 2)
Unique sites:
Ca 0.125 0.125 0.125
Mg 0.000 0.000 0.500

Calculated X-ray powder pattern of CaMg2 for Cu Ka, from the GGA-PBE geometry in the Materials Project.
Intensities are scaled so that the largest is 100.

Most intense lines, 2θ = 10–80°, in order of falling intensity:
hkl, d [Å], Position (°2θ), I (rel.)
2 0 0, 2.705, 33.1, 100
1 0 6, 2.599, 34.5, 28
0 1 3, 3.125, 28.6, 18
3 1 3, 1.561, 59.2, 15
2 1 9, 1.464, 63.6, 11
0 1 9, 1.741, 52.6, 10
0 0 6, 2.965, 30.1, 10
2 1 3, 2.044, 44.3, 10
1 2 6, 1.501, 61.8, 9
2 2 0, 1.520, 61.0, 7

Atomic structure:
```
data_CaMg2
_cell_length_a 5.406
_cell_length_b 3.677
_cell_length_c 17.788
_cell_angle_alpha 90.00
_cell_angle_beta 90.00
_cell_angle_gamma 90.00
_symmetry_space_group_name_H-M 'A m m 2'
_symmetry_Int_Tables_number 38
loop_
_symmetry_equiv_pos_as_xyz
'x,y,z'
'-x,-y,z'
'-x,y,z'
'x,-y,z'
'x,y+1/2,z+1/2'
'-x,-y+1/2,z+1/2'
'-x,y+1/2,z+1/2'
'x,-y+1/2,z+1/2'
loop_
_atom_site_label
_atom_site_fract_x
_atom_site_fract_y
_atom_site_fract_z
Ca1 0.000 0.000 0.000
Ca2 0.000 0.000 0.318
Mg1 0.000 0.000 0.662
Mg2 0.500 0.000 0.118
Mg3 0.500 0.000 0.438
Mg4 0.500 0.000 0.768
```

Calculated X-ray powder pattern of CaMg2 for Cu Ka, from the GGA-PBE geometry in the Materials Project.
Intensities are scaled so that the largest is 100.

Most intense lines, 2θ = 10–80°, in order of falling intensity:
hkl, d [Å], Position (°2θ), I (rel.)
0 2 1, 2.618, 34.3, 100
3 1 0, 2.657, 33.7, 99
3 1 -2, 2.576, 34.8, 91
0 0 2, 2.825, 31.7, 80
3 1 -1, 2.952, 30.3, 68
6 0 -2, 1.704, 53.8, 49
0 2 3, 1.588, 58.1, 20
3 1 2, 1.615, 57.0, 20
3 3 1, 1.474, 63.1, 19
3 3 -3, 1.446, 64.4, 18

Atomic structure:
```
data_CaMg2
_cell_length_a 10.231
_cell_length_b 5.908
_cell_length_c 6.475
_cell_angle_alpha 90.00
_cell_angle_beta 119.26
_cell_angle_gamma 90.00
_symmetry_space_group_name_H-M 'C 1 2/c 1'
_symmetry_Int_Tables_number 15
loop_
_symmetry_equiv_pos_as_xyz
'x,y,z'
'-x,-y,-z'
'-x,y,-z+1/2'
'x,-y,z+1/2'
'x+1/2,y+1/2,z'
'-x+1/2,-y+1/2,-z'
'-x+1/2,y+1/2,-z+1/2'
'x+1/2,-y+1/2,z+1/2'
loop_
_atom_site_label
_atom_site_fract_x
_atom_site_fract_y
_atom_site_fract_z
Ca1 0.000 0.091 0.250
Mg1 0.165 0.418 0.749
```

Calculated X-ray powder pattern of Ca5Mg for Cu Ka, from the GGA-PBE geometry in the Materials Project.
Intensities are scaled so that the largest is 100.

Most intense lines, 2θ = 10–80°, in order of falling intensity:
hkl, d [Å], Position (°2θ), I (rel.)
1 1 3, 2.914, 30.7, 100
1 0 6, 2.890, 30.9, 46
2 0 0, 3.073, 29.1, 39
0 1 3, 3.310, 26.9, 24
3 1 3, 1.742, 52.5, 19
2 1 9, 1.614, 57.1, 17
0 1 9, 1.897, 48.0, 15
2 1 3, 2.252, 40.0, 15
1 2 6, 1.598, 57.7, 13
0 0 6, 3.274, 27.2, 11

Atomic structure:
```
data_Ca5Mg
_cell_length_a 6.147
_cell_length_b 3.836
_cell_length_c 19.645
_cell_angle_alpha 90.00
_cell_angle_beta 90.00
_cell_angle_gamma 90.00
_symmetry_space_group_name_H-M 'A m m 2'
_symmetry_Int_Tables_number 38
loop_
_symmetry_equiv_pos_as_xyz
'x,y,z'
'-x,-y,z'
'-x,y,z'
'x,-y,z'
'x,y+1/2,z+1/2'
'-x,-y+1/2,z+1/2'
'-x,y+1/2,z+1/2'
'x,-y+1/2,z+1/2'
loop_
_atom_site_label
_atom_site_fract_x
_atom_site_fract_y
_atom_site_fract_z
Ca1 0.000 0.000 0.000
Ca2 0.000 0.000 0.314
Ca3 0.500 0.000 0.106
Ca4 0.500 0.000 0.434
Ca5 0.500 0.000 0.765
Mg1 0.000 0.000 0.657
```

Calculated X-ray powder pattern of CaMg5 for Cu Ka, from the GGA-PBE geometry in the Materials Project.
Intensities are scaled so that the largest is 100.

Most intense lines, 2θ = 10–80°, in order of falling intensity:
hkl, d [Å], Position (°2θ), I (rel.)
1 0 3, 2.535, 35.4, 100
0 0 6, 2.743, 32.6, 27
1 0 0, 2.858, 31.3, 24
1 1 6, 1.414, 66.1, 19
1 0 9, 1.541, 60.1, 18
1 1 0, 1.650, 55.7, 17
1 0 6, 1.979, 45.8, 15
2 0 3, 1.383, 67.8, 13
2 0 6, 1.267, 74.9, 3
0 0 2, 8.230, 10.7, 3

Atomic structure:
```
data_CaMg5
_cell_length_a 3.3004
_cell_length_b 3.3004
_cell_length_c 16.4600
_cell_angle_alpha 90.00
_cell_angle_beta 90.00
_cell_angle_gamma 120.00
_symmetry_space_group_name_H-M 'P -6 m 2'
_symmetry_Int_Tables_number 187
_symmetry_space_group_name_Hall 'P -6 2'
loop_
_atom_site_label
_atom_site_fract_x
_atom_site_fract_y
_atom_site_fract_z
Ca1 0.0000 0.0000 0.0000
Mg1 0.0000 0.0000 0.3372
Mg2 0.6667 0.3333 0.1759
Mg3 0.6667 0.3333 0.5000
```

Calculated X-ray powder pattern of CaMg3 for Cu Ka, from the GGA-PBE geometry in the Materials Project.
Intensities are scaled so that the largest is 100.

Most intense lines, 2θ = 10–80°, in order of falling intensity:
hkl, d [Å], Position (°2θ), I (rel.)
1 1 1, 2.629, 34.1, 100
0 1 2, 2.551, 35.2, 43
0 2 0, 2.687, 33.3, 35
1 0 1, 3.015, 29.6, 24
1 3 1, 1.540, 60.1, 18
1 2 3, 1.434, 65.1, 17
1 0 3, 1.695, 54.1, 16
2 1 2, 1.451, 64.2, 14
1 2 1, 2.006, 45.2, 14
0 0 2, 2.899, 30.8, 12

Atomic structure:
```
data_CaMg3
_cell_length_a 3.529
_cell_length_b 5.374
_cell_length_c 5.797
_cell_angle_alpha 90.00
_cell_angle_beta 90.00
_cell_angle_gamma 90.00
_symmetry_space_group_name_H-M 'P m m 2'
_symmetry_Int_Tables_number 25
loop_
_symmetry_equiv_pos_as_xyz
'x,y,z'
'-x,-y,z'
'-x,y,z'
'x,-y,z'
loop_
_atom_site_label
_atom_site_fract_x
_atom_site_fract_y
_atom_site_fract_z
Ca1 0.000 0.000 0.000
Mg1 0.000 0.500 0.646
Mg2 0.500 0.000 0.490
Mg3 0.500 0.500 0.171
```

Calculated X-ray powder pattern of CaMg3 for Cu Ka, from the GGA-PBE geometry in the Materials Project.
Intensities are scaled so that the largest is 100.

Most intense lines, 2θ = 10–80°, in order of falling intensity:
hkl, d [Å], Position (°2θ), I (rel.)
2 2 0, 2.649, 33.8, 100
4 2 2, 1.529, 60.5, 34
4 0 0, 1.873, 48.6, 17
4 4 0, 1.324, 71.2, 10
1 1 1, 4.325, 20.5, 5
2 0 0, 3.746, 23.8, 3
3 1 1, 2.259, 39.9, 2
3 3 1, 1.719, 53.3, 1
4 2 0, 1.675, 54.8, 1
2 2 2, 2.163, 41.8, 1

Atomic structure:
```
data_CaMg3
_cell_length_a 7.491
_cell_length_b 7.491
_cell_length_c 7.491
_cell_angle_alpha 90.00
_cell_angle_beta 90.00
_cell_angle_gamma 90.00
_symmetry_space_group_name_H-M 'F m -3 m'
_symmetry_Int_Tables_number 225
_symmetry_space_group_name_Hall '-F 4 2 3'
loop_
_atom_site_label
_atom_site_fract_x
_atom_site_fract_y
_atom_site_fract_z
Ca1 0.000 0.000 0.000
Mg1 0.000 0.000 0.500
Mg2 0.250 0.250 0.250
```

Calculated X-ray powder pattern of CaMg for Cu Ka, from the GGA-PBE geometry in the Materials Project.
Intensities are scaled so that the largest is 100.

Most intense lines, 2θ = 10–80°, in order of falling intensity:
hkl, d [Å], Position (°2θ), I (rel.)
3 1 0, 2.780, 32.2, 100
1 1 -2, 2.711, 33.0, 92
4 0 -2, 2.945, 30.4, 75
4 0 1, 2.762, 32.4, 49
1 1 1, 3.102, 28.8, 46
0 0 3, 2.631, 34.1, 39
3 1 3, 1.762, 51.9, 31
2 0 2, 3.029, 29.5, 20
7 1 1, 1.548, 59.7, 19
7 1 -2, 1.682, 54.5, 19

Atomic structure:
```
data_CaMg
_cell_length_a 13.590
_cell_length_b 3.611
_cell_length_c 8.208
_cell_angle_alpha 90.00
_cell_angle_beta 105.95
_cell_angle_gamma 90.00
_symmetry_space_group_name_H-M 'C 1 m 1'
_symmetry_Int_Tables_number 8
loop_
_symmetry_equiv_pos_as_xyz
'x,y,z'
'x,-y,z'
'x+1/2,y+1/2,z'
'x+1/2,-y+1/2,z'
loop_
_atom_site_label
_atom_site_fract_x
_atom_site_fract_y
_atom_site_fract_z
Ca1 0.000 0.000 0.000
Ca2 0.113 0.500 0.692
Ca3 0.334 0.000 0.618
Mg1 0.171 0.500 0.309
Mg2 0.278 0.000 0.043
Mg3 0.443 0.500 0.360
```

Calculated X-ray powder pattern of CaMg2 for Cu Ka, from the GGA-PBE geometry in the Materials Project.
Intensities are scaled so that the largest is 100.

Most intense lines, 2θ = 10–80°, in order of falling intensity:
hkl, d [Å], Position (°2θ), I (rel.)
1 1 1, 2.639, 34.0, 100
1 1 0, 3.002, 29.8, 26
0 0 2, 2.767, 32.3, 26
1 1 3, 1.572, 58.7, 19
3 0 2, 1.469, 63.3, 18
3 0 0, 1.733, 52.8, 17
1 1 2, 2.035, 44.5, 16
2 2 1, 1.449, 64.3, 13
1 0 1, 3.790, 23.5, 6
0 0 1, 5.535, 16.0, 5

Atomic structure:
```
data_CaMg2
_cell_length_a 6.0046
_cell_length_b 6.0046
_cell_length_c 5.5348
_cell_angle_alpha 90.00
_cell_angle_beta 90.00
_cell_angle_gamma 120.00
_symmetry_space_group_name_H-M 'P -6 2 m'
_symmetry_Int_Tables_number 189
_symmetry_space_group_name_Hall 'P -6 -2'
loop_
_atom_site_label
_atom_site_fract_x
_atom_site_fract_y
_atom_site_fract_z
Ca1 0.3333 0.6667 0.0000
Mg1 0.0000 0.0000 0.0000
Mg2 0.0000 0.6915 0.5000
```

Calculated X-ray powder pattern of CaMg for Cu Ka, from the GGA-PBE geometry in the Materials Project.
Intensities are scaled so that the largest is 100.

Most intense lines, 2θ = 10–80°, in order of falling intensity:
hkl, d [Å], Position (°2θ), I (rel.)
1 1 1, 2.782, 32.2, 100
2 0 0, 2.858, 31.3, 54
3 1 1, 1.635, 56.3, 36
2 0 2, 2.021, 44.8, 19
2 2 0, 1.592, 57.9, 16
2 2 2, 1.391, 67.3, 10
1 0 1, 4.042, 22.0, 8
0 2 0, 1.917, 47.4, 8
4 0 2, 1.278, 74.2, 7
3 1 3, 1.271, 74.7, 7

Atomic structure:
```
data_CaMg
_cell_length_a 5.713
_cell_length_b 3.834
_cell_length_c 5.719
_cell_angle_alpha 90.00
_cell_angle_beta 90.00
_cell_angle_gamma 90.00
_symmetry_space_group_name_H-M 'P m m a'
_symmetry_Int_Tables_number 51
loop_
_symmetry_equiv_pos_as_xyz
'x,y,z'
'-x,-y,-z'
'-x+1/2,-y,z'
'x+1/2,y,-z'
'x+1/2,-y,-z'
'-x+1/2,y,z'
'-x,y,-z'
'x,-y,z'
loop_
_atom_site_label
_atom_site_fract_x
_atom_site_fract_y
_atom_site_fract_z
Ca1 0.250 0.000 0.247
Mg1 0.250 0.500 0.744
```

Calculated X-ray powder pattern of CaMg for Cu Ka, from the GGA-PBE geometry in the Materials Project.
Intensities are scaled so that the largest is 100.

Most intense lines, 2θ = 10–80°, in order of falling intensity:
hkl, d [Å], Position (°2θ), I (rel.)
3 1 0, 2.785, 32.1, 100
1 1 -2, 2.676, 33.5, 92
4 0 -2, 2.918, 30.6, 67
4 0 1, 2.808, 31.9, 35
2 0 2, 3.039, 29.4, 34
1 1 1, 3.087, 28.9, 28
0 0 3, 2.596, 34.6, 25
3 1 3, 1.764, 51.8, 23
7 1 -2, 1.683, 54.5, 16
4 2 -2, 1.527, 60.6, 16

Atomic structure:
```
data_CaMg
_cell_length_a 13.728
_cell_length_b 3.584
_cell_length_c 8.051
_cell_angle_alpha 90.00
_cell_angle_beta 104.70
_cell_angle_gamma 90.00
_symmetry_space_group_name_H-M 'C 1 m 1'
_symmetry_Int_Tables_number 8
loop_
_symmetry_equiv_pos_as_xyz
'x,y,z'
'x,-y,z'
'x+1/2,y+1/2,z'
'x+1/2,-y+1/2,z'
loop_
_atom_site_label
_atom_site_fract_x
_atom_site_fract_y
_atom_site_fract_z
Ca1 0.000 0.000 0.000
Ca2 0.046 0.000 0.552
Ca3 0.231 0.500 0.916
Mg1 0.185 0.500 0.318
Mg2 0.334 0.000 0.631
Mg3 0.375 0.000 0.255
```

Calculated X-ray powder pattern of CaMg7 for Cu Ka, from the GGA-PBE geometry in the Materials Project.
Intensities are scaled so that the largest is 100.

Most intense lines, 2θ = 10–80°, in order of falling intensity:
hkl, d [Å], Position (°2θ), I (rel.)
2 0 1, 2.525, 35.6, 100
0 0 2, 2.629, 34.1, 25
2 0 0, 2.879, 31.1, 25
2 2 2, 1.405, 66.6, 19
2 0 3, 1.497, 62.0, 18
2 2 0, 1.662, 55.3, 17
2 0 2, 1.941, 46.8, 15
4 0 1, 1.388, 67.5, 14
4 0 2, 1.262, 75.3, 3
1 0 1, 3.882, 22.9, 3

Atomic structure:
```
data_CaMg7
_cell_length_a 6.6477
_cell_length_b 6.6477
_cell_length_c 5.2576
_cell_angle_alpha 90.00
_cell_angle_beta 90.00
_cell_angle_gamma 120.00
_symmetry_space_group_name_H-M 'P -6 m 2'
_symmetry_Int_Tables_number 187
_symmetry_space_group_name_Hall 'P -6 2'
loop_
_atom_site_label
_atom_site_fract_x
_atom_site_fract_y
_atom_site_fract_z
Ca1 0.0000 0.0000 0.0000
Mg1 0.0046 0.5023 0.0000
Mg2 0.1702 0.3404 0.5000
Mg3 0.6667 0.3333 0.5000
```

Calculated X-ray powder pattern of CaMg3 for Cu Ka, from the GGA-PBE geometry in the Materials Project.
Intensities are scaled so that the largest is 100.

Most intense lines, 2θ = 10–80°, in order of falling intensity:
hkl, d [Å], Position (°2θ), I (rel.)
1 0 2, 2.595, 34.6, 100
1 0 0, 2.952, 30.3, 26
0 0 4, 2.720, 32.9, 24
1 1 4, 1.444, 64.5, 18
1 1 0, 1.705, 53.8, 18
1 0 6, 1.545, 59.9, 17
1 0 4, 2.001, 45.3, 15
2 0 2, 1.425, 65.5, 14
1 0 1, 2.849, 31.4, 5
0 0 3, 3.627, 24.5, 4

Atomic structure:
```
data_CaMg3
_cell_length_a 3.4091
_cell_length_b 3.4091
_cell_length_c 10.8807
_cell_angle_alpha 90.00
_cell_angle_beta 90.00
_cell_angle_gamma 120.00
_symmetry_space_group_name_H-M 'P -6 m 2'
_symmetry_Int_Tables_number 187
_symmetry_space_group_name_Hall 'P -6 2'
loop_
_atom_site_label
_atom_site_fract_x
_atom_site_fract_y
_atom_site_fract_z
Ca1 0.0000 0.0000 0.0000
Mg1 0.0000 0.0000 0.5000
Mg2 0.6667 0.3333 0.2645
```